# 1
Pr12Co6Cu: calculated X-ray powder pattern (copper Kα), based on a cell relaxed with PBE.
Intensities are scaled so that the largest is 100.

Structure:
a b c (Å): 8.6903 8.6903 8.6903
angles (deg): 109.47 109.47 109.47
Atoms (fractional coordinates):
1 Pr 0.1120 0.8071 0.3049
2 Pr 0.1929 0.3049 0.4978
3 Pr 0.1929 0.6951 0.8880
4 Pr 0.3049 0.1120 0.8071
5 Pr 0.3049 0.4978 0.1929
6 Pr 0.4978 0.1929 0.3049
7 Pr 0.5022 0.8071 0.6951
8 Pr 0.6951 0.5022 0.8071
9 Pr 0.6951 0.8880 0.1929
10 Pr 0.8071 0.3049 0.1120
11 Pr 0.8071 0.6951 0.5022
12 Pr 0.8880 0.1929 0.6951
13 Co 0.1117 0.6117 0.5000
14 Co 0.3883 0.5000 0.8883
15 Co 0.5000 0.1117 0.6117
16 Co 0.5000 0.8883 0.3883
17 Co 0.6117 0.5000 0.1117
18 Co 0.8883 0.3883 0.5000
19 Cu 0.0000 0.0000 0.0000

Principal peaks in the range 15° ≤ 2θ ≤ 90°, most intense first:
two_theta  I/Imax
33.41  100
30.87  50
28.12  44
53.23  38
56.53  36
46.12  24
65.81  19
35.79  18


# 2
Pr4CoCu: calculated X-ray powder pattern (copper Kα), based on a cell relaxed with PBE.
Intensities are scaled so that the largest is 100.

Structure:
a b c (Å): 7.9259 7.9259 7.9259
angles (deg): 107.25 107.25 114.01
Atoms (fractional coordinates):
1 Pr 0.1619 0.4681 0.6937
2 Pr 0.2181 0.0244 0.8063
3 Pr 0.2181 0.4119 0.1937
4 Pr 0.3018 0.0000 0.3018
5 Pr 0.6982 0.0000 0.6982
6 Pr 0.7500 0.5518 0.8018
7 Pr 0.7500 0.9482 0.1982
8 Pr 0.7744 0.4681 0.3063
9 Co 0.7347 0.2347 0.5000
10 Co 0.9847 0.9847 0.0000
11 Cu 0.2324 0.7324 0.5000
12 Cu 0.4824 0.4824 0.0000

Principal peaks in the range 15° ≤ 2θ ≤ 90°, most intense first:
two_theta  I/Imax
28.07  100
30.06  39
46.04  38
36.71  31
26.82  22
18.88  21
38.30  20
57.13  15


# 3
PrYCoCu: calculated X-ray powder pattern (copper Kα), based on a cell relaxed with PBE.
Intensities are scaled so that the largest is 100.

Structure:
a b c (Å): 4.2619 3.8806 10.5993
angles (deg): 90.00 90.00 90.00
Atoms (fractional coordinates):
1 Pr 0.0000 0.0000 0.0000
2 Pr 0.0000 0.5000 0.5000
3 Y 0.5000 0.0000 0.2771
4 Y 0.5000 0.5000 0.7771
5 Co 0.5000 0.0000 0.5736
6 Co 0.5000 0.5000 0.0736
7 Cu 0.0000 0.0000 0.7094
8 Cu 0.0000 0.5000 0.2094

Principal peaks in the range 15° ≤ 2θ ≤ 90°, most intense first:
two_theta  I/Imax
32.32  100
40.50  59
34.33  45
42.42  28
26.84  25
40.07  23
33.83  23
55.66  22


# 4
Pr2Zn3CoCu12: calculated X-ray powder pattern (copper Kα), based on a cell relaxed with PBE.
Intensities are scaled so that the largest is 100.

Structure:
a b c (Å): 9.6410 9.6410 9.6410
angles (deg): 37.33 37.33 37.33
Atoms (fractional coordinates):
1 Pr 0.1519 0.1519 0.1519
2 Pr 0.8481 0.8481 0.8481
3 Zn 0.0000 0.5000 0.5000
4 Zn 0.5000 0.0000 0.5000
5 Zn 0.5000 0.5000 0.0000
6 Co 0.5000 0.5000 0.5000
7 Cu 0.0802 0.0802 0.6892
8 Cu 0.0802 0.6892 0.0802
9 Cu 0.1528 0.5677 0.5677
10 Cu 0.3108 0.9198 0.9198
11 Cu 0.4323 0.4323 0.8472
12 Cu 0.4323 0.8472 0.4323
13 Cu 0.5677 0.1528 0.5677
14 Cu 0.5677 0.5677 0.1528
15 Cu 0.6892 0.0802 0.0802
16 Cu 0.8472 0.4323 0.4323
17 Cu 0.9198 0.3108 0.9198
18 Cu 0.9198 0.9198 0.3108

Principal peaks in the range 15° ≤ 2θ ≤ 90°, most intense first:
two_theta  I/Imax
30.65  100
37.46  55
36.18  53
45.41  50
43.27  48
35.33  44
59.97  40
55.52  36


# 5
CoCuPt: calculated X-ray powder pattern (copper Kα), based on a cell relaxed with PBE.
Intensities are scaled so that the largest is 100.

Structure:
a b c (Å): 10.7501 3.8105 3.8109
angles (deg): 90.00 90.00 90.00
Atoms (fractional coordinates):
1 Co 0.0727 0.2500 0.0000
2 Co 0.0727 0.7500 0.5000
3 Co 0.9273 0.2500 0.5000
4 Co 0.9273 0.7500 0.0000
5 Cu 0.4209 0.2500 0.9988
6 Cu 0.4209 0.7500 0.4988
7 Cu 0.5791 0.2500 0.4988
8 Cu 0.5791 0.7500 0.9988
9 Pt 0.2449 0.2500 0.4997
10 Pt 0.2449 0.7500 0.9997
11 Pt 0.7551 0.2500 0.9997
12 Pt 0.7551 0.7500 0.4997

Principal peaks in the range 15° ≤ 2θ ≤ 90°, most intense first:
two_theta  I/Imax
41.95  100
47.73  35
16.49  32
34.31  29
84.90  25
72.40  18
50.97  13
69.81  11


# 6
CoCuPt3: calculated X-ray powder pattern (copper Kα), based on a cell relaxed with PBE.
Intensities are scaled so that the largest is 100.

Structure:
a b c (Å): 7.2894 7.2894 4.6574
angles (deg): 90.01 90.01 35.68
Atoms (fractional coordinates):
1 Co 0.0000 0.0000 0.0000
2 Co 0.7094 0.7094 0.4993
3 Cu 0.2060 0.2060 0.8950
4 Cu 0.5034 0.5034 0.3941
5 Pt 0.1053 0.1053 0.4401
6 Pt 0.3000 0.3000 0.3844
7 Pt 0.4094 0.4094 0.8842
8 Pt 0.6040 0.6040 0.9387
9 Pt 0.8005 0.8005 0.0087
10 Pt 0.9089 0.9089 0.5089

Principal peaks in the range 15° ≤ 2θ ≤ 90°, most intense first:
two_theta  I/Imax
43.00  100
40.39  34
28.42  30
38.67  24
75.25  19
44.35  19
57.15  16
81.69  9